For Fe10O11F9, a structure optimized by DFT (GGA+U) gives the computed powder XRD pattern in this record (copper Kα).
Neutral-atom scattering factors, no anomalous dispersion.

a = 4.693 Å, b = 4.695 Å, c = 15.305 Å
α = 89.45°, β = 89.66°, γ = 87.81°
Element x y z (fractional)
Fe  0.000  0.000  0.000
Fe  0.001  0.998  0.201
Fe  0.008  0.995  0.797
Fe  0.428  0.490  0.099
Fe  0.434  0.494  0.902
Fe  0.456  0.467  0.498
Fe  0.473  0.470  0.705
Fe  0.485  0.428  0.300
Fe  0.966  0.969  0.603
Fe  0.983  0.006  0.409
O  0.160  0.805  0.099
O  0.163  0.778  0.507
O  0.167  0.813  0.903
O  0.171  0.776  0.699
O  0.274  0.293  0.000
O  0.286  0.284  0.402
O  0.286  0.288  0.200
O  0.290  0.297  0.801
O  0.768  0.169  0.509
O  0.779  0.170  0.700
O  0.798  0.156  0.302
F  0.195  0.776  0.303
F  0.268  0.274  0.599
F  0.658  0.660  0.602
F  0.672  0.692  0.002
F  0.677  0.675  0.201
F  0.679  0.667  0.401
F  0.680  0.694  0.810
F  0.780  0.194  0.098
F  0.785  0.199  0.903

Most intense lines, 10 to 80 degrees two-theta, sorted by position:
26.35°, I 100; 27.40°, I 97; 34.88°, I 55; 35.13°, I 51; 52.05°, I 30; 52.59°, I 30; 53.51°, I 27; 60.50°, I 18

***

For Fe6O5F7, a structure optimized by DFT (GGA+U) gives the computed powder XRD pattern in this record (copper Kα).
Neutral-atom scattering factors, no anomalous dispersion.

a = 9.196 Å, b = 4.795 Å, c = 4.795 Å
α = 95.54°, β = 90.00°, γ = 90.00°
Element x y z (fractional)
Fe  0.000  0.000  0.000
Fe  0.167  0.503  0.503
Fe  0.322  0.007  0.007
Fe  0.500  0.470  0.470
Fe  0.678  0.007  0.007
Fe  0.833  0.503  0.503
O  0.160  0.200  0.200
O  0.163  0.802  0.802
O  0.500  0.167  0.167
O  0.837  0.802  0.802
O  0.840  0.200  0.200
F  0.000  0.314  0.689
F  0.000  0.689  0.314
F  0.325  0.296  0.695
F  0.325  0.695  0.296
F  0.500  0.783  0.783
F  0.675  0.296  0.695
F  0.675  0.695  0.296

Most intense lines, 10 to 80 degrees two-theta, sorted by position:
25.08°, I 100; 27.68°, I 86; 34.78°, I 95; 40.61°, I 21; 50.75°, I 66; 51.48°, I 20; 53.67°, I 47; 66.18°, I 39

***

For Fe10O11F9, a structure optimized by DFT (GGA+U) gives the computed powder XRD pattern in this record (copper Kα).
Neutral-atom scattering factors, no anomalous dispersion.

a = 4.685 Å, b = 4.694 Å, c = 15.198 Å
α = 89.84°, β = 89.70°, γ = 86.23°
Element x y z (fractional)
Fe  0.000  0.000  0.000
Fe  0.001  0.985  0.387
Fe  0.019  0.961  0.789
Fe  0.053  0.972  0.194
Fe  0.448  0.454  0.686
Fe  0.474  0.454  0.297
Fe  0.479  0.463  0.091
Fe  0.484  0.501  0.898
Fe  0.495  0.480  0.489
Fe  0.993  0.984  0.597
O  0.179  0.151  0.694
O  0.190  0.171  0.095
O  0.198  0.165  0.295
O  0.288  0.668  0.586
O  0.289  0.687  0.992
O  0.298  0.666  0.396
O  0.302  0.668  0.791
O  0.316  0.646  0.195
O  0.682  0.281  0.589
O  0.683  0.287  0.991
O  0.685  0.284  0.396
F  0.184  0.168  0.493
F  0.189  0.173  0.889
F  0.698  0.261  0.198
F  0.700  0.264  0.791
F  0.799  0.770  0.694
F  0.799  0.789  0.493
F  0.801  0.771  0.292
F  0.801  0.781  0.096
F  0.811  0.790  0.888

Most intense lines, 10 to 80 degrees two-theta, sorted by position:
26.03°, I 100; 27.84°, I 91; 35.15°, I 49; 35.27°, I 50; 51.97°, I 30; 52.24°, I 31; 54.11°, I 37; 67.38°, I 19

***

For Fe3O5F, a structure optimized by DFT (GGA+U) gives the computed powder XRD pattern in this record (copper Kα).
Neutral-atom scattering factors, no anomalous dispersion.

a = 4.611 Å, b = 5.491 Å, c = 7.550 Å
α = 85.37°, β = 88.36°, γ = 87.66°
Element x y z (fractional)
Fe  0.000  0.000  0.000
Fe  0.002  0.332  0.668
Fe  0.458  0.804  0.649
Fe  0.480  0.158  0.320
Fe  0.482  0.481  0.000
Fe  0.981  0.652  0.325
O  0.176  0.023  0.763
O  0.181  0.693  0.094
O  0.185  0.358  0.430
O  0.292  0.869  0.420
O  0.298  0.520  0.773
O  0.299  0.200  0.099
O  0.670  0.444  0.222
O  0.787  0.954  0.224
O  0.788  0.286  0.895
O  0.793  0.617  0.559
F  0.677  0.120  0.556
F  0.678  0.782  0.895

Most intense lines, 10 to 80 degrees two-theta, sorted by position:
26.72°, I 98; 28.06°, I 92; 35.81°, I 100; 39.14°, I 19; 53.32°, I 58; 54.84°, I 52; 62.08°, I 15; 68.77°, I 43

***

For Fe4O7F, a structure optimized by DFT (GGA+U) gives the computed powder XRD pattern in this record (copper Kα).
Neutral-atom scattering factors, no anomalous dispersion.

a = 6.983 Å, b = 6.983 Å, c = 6.631 Å
α = 90.00°, β = 90.00°, γ = 129.68°
Element x y z (fractional)
Fe  0.125  0.875  0.500
Fe  0.132  0.382  0.468
Fe  0.375  0.625  0.959
Fe  0.382  0.132  0.968
Fe  0.618  0.868  0.468
Fe  0.625  0.375  0.459
Fe  0.868  0.618  0.968
Fe  0.875  0.125  0.000
O  0.026  0.474  0.974
O  0.125  0.875  0.792
O  0.224  0.277  0.974
O  0.277  0.224  0.474
O  0.374  0.626  0.654
O  0.375  0.625  0.285
O  0.474  0.026  0.474
O  0.526  0.974  0.974
O  0.625  0.375  0.785
O  0.626  0.374  0.154
O  0.723  0.776  0.974
O  0.776  0.723  0.474
O  0.875  0.125  0.292
O  0.974  0.526  0.474
F  0.124  0.876  0.168
F  0.876  0.124  0.668

Most intense lines, 10 to 80 degrees two-theta, sorted by position:
26.89°, I 100; 28.24°, I 90; 36.07°, I 99; 39.39°, I 20; 53.70°, I 58; 55.23°, I 51; 62.58°, I 15; 69.29°, I 48

***

For Fe6O7F5, a structure optimized by DFT (GGA+U) gives the computed powder XRD pattern in this record (copper Kα).
Neutral-atom scattering factors, no anomalous dispersion.

a = 4.726 Å, b = 5.646 Å, c = 7.666 Å
α = 84.94°, β = 87.67°, γ = 85.50°
Element x y z (fractional)
Fe  0.000  0.000  0.000
Fe  0.010  0.315  0.659
Fe  0.036  0.670  0.323
Fe  0.487  0.141  0.318
Fe  0.528  0.479  0.994
Fe  0.575  0.853  0.660
O  0.197  0.944  0.214
O  0.315  0.450  0.223
O  0.327  0.118  0.556
O  0.702  0.187  0.100
O  0.718  0.541  0.763
O  0.721  0.867  0.422
O  0.831  0.042  0.773
F  0.210  0.616  0.559
F  0.223  0.304  0.887
F  0.315  0.799  0.892
F  0.810  0.679  0.096
F  0.832  0.377  0.427

Most intense lines, 10 to 80 degrees two-theta, sorted by position:
25.59°, I 100; 27.88°, I 89; 34.98°, I 49; 35.28°, I 23; 35.39°, I 24; 51.19°, I 28; 54.16°, I 25; 61.03°, I 17

***

For Fe6O5F7, a structure optimized by DFT (GGA+U) gives the computed powder XRD pattern in this record (copper Kα).
Neutral-atom scattering factors, no anomalous dispersion.

a = 4.728 Å, b = 5.694 Å, c = 7.808 Å
α = 85.45°, β = 88.38°, γ = 87.80°
Element x y z (fractional)
Fe  0.000  0.000  0.000
Fe  0.009  0.672  0.329
Fe  0.447  0.145  0.321
Fe  0.461  0.468  0.001
Fe  0.484  0.806  0.636
Fe  0.929  0.337  0.674
O  0.163  0.692  0.094
O  0.265  0.190  0.112
O  0.270  0.879  0.424
O  0.766  0.266  0.909
O  0.781  0.632  0.539
F  0.183  0.362  0.432
F  0.185  0.012  0.763
F  0.290  0.525  0.760
F  0.651  0.119  0.542
F  0.657  0.432  0.234
F  0.666  0.772  0.881
F  0.753  0.945  0.223

Most intense lines, 10 to 80 degrees two-theta, sorted by position:
25.95°, I 100; 27.19°, I 85; 34.54°, I 45; 34.64°, I 49; 39.17°, I 17; 51.67°, I 30; 52.99°, I 24; 66.20°, I 20

***

For Fe5O8F2, a structure optimized by DFT (GGA+U) gives the computed powder XRD pattern in this record (copper Kα).
Neutral-atom scattering factors, no anomalous dispersion.

a = 7.602 Å, b = 4.656 Å, c = 9.792 Å
α = 90.00°, β = 109.98°, γ = 90.00°
Element x y z (fractional)
Fe  0.036  0.000  0.148
Fe  0.139  0.513  0.442
Fe  0.254  0.973  0.757
Fe  0.352  0.464  0.049
Fe  0.442  0.023  0.360
Fe  0.558  0.523  0.640
Fe  0.648  0.964  0.951
Fe  0.746  0.473  0.243
Fe  0.861  0.013  0.558
Fe  0.964  0.500  0.852
O  0.027  0.192  0.734
O  0.092  0.808  0.575
O  0.117  0.297  0.030
O  0.197  0.197  0.324
O  0.207  0.676  0.884
O  0.379  0.695  0.467
O  0.421  0.170  0.928
O  0.496  0.803  0.773
O  0.504  0.303  0.227
O  0.579  0.670  0.072
O  0.621  0.195  0.533
O  0.793  0.176  0.116
O  0.803  0.697  0.676
O  0.883  0.797  0.970
O  0.908  0.308  0.425
O  0.973  0.692  0.266
F  0.288  0.797  0.174
F  0.316  0.301  0.628
F  0.684  0.801  0.372
F  0.712  0.297  0.826

Most intense lines, 10 to 80 degrees two-theta, sorted by position:
27.07°, I 100; 35.58°, I 51; 38.66°, I 10; 40.66°, I 14; 53.54°, I 57; 55.82°, I 16; 67.97°, I 19; 68.72°, I 11